# HgBF5
Theoretical powder X-ray diffraction pattern, copper Kα. Input: a DFT-relaxed cell (PBE, Alexandria).
Intensities are scaled so that the largest is 100.

Largest 10 diffraction maxima, sorted by position, 10° ≤ 2θ ≤ 90°:
| 2θ (°) | intensity | (hkl) |
| --- | --- | --- |
| 18.02 | 56.1 | 0 0 2 |
| 21.95 | 76.6 | 0 1 -2 |
| 24.18 | 77.5 | 0 1 2 |
| 27.06 | 40.3 | 1 -1 0 |
| 27.61 | 100.0 | 1 1 -1 |
| 28.10 | 46.6 | -1 1 1 |
| 28.88 | 35.2 | 0 2 0 |
| 29.53 | 44.1 | 0 1 -3 |
| 31.19 | 38.0 | 1 0 2 |
| 41.39 | 34.5 | -1 2 2 |

```
data_HgBF5
_space_group_name_H-M_alt 'P 1'
_space_group_IT_number 1
_cell_length_a 3.876
_cell_length_b 6.213
_cell_length_c 9.968
_cell_angle_alpha 95.53
_cell_angle_beta 96.94
_cell_angle_gamma 90.44
loop_
_space_group_symop_operation_xyz
'x,y,z'
loop_
_atom_site_label
_atom_site_type_symbol
_atom_site_fract_x
_atom_site_fract_y
_atom_site_fract_z
Hg1 Hg 0.000 0.000 0.000
Hg2 Hg 0.451 0.475 0.833
B1 B 0.097 0.444 0.347
B2 B 0.633 0.914 0.494
F1 F 0.010 0.526 0.466
F2 F 0.046 0.691 0.811
F3 F 0.343 0.296 0.344
F4 F 0.404 0.227 0.023
F5 F 0.478 0.826 0.374
F6 F 0.530 0.858 0.607
F7 F 0.607 0.785 0.025
F8 F 0.835 0.248 0.806
F9 F 0.889 0.058 0.496
F10 F 0.937 0.505 0.232
```



# KHgBF6
Theoretical powder X-ray diffraction pattern, copper Kα. Input: a DFT-relaxed cell (PBE, Alexandria).
Intensities are scaled so that the largest is 100.

Largest 10 diffraction maxima, sorted by position, 10° ≤ 2θ ≤ 90°:
| 2θ (°) | intensity | (hkl) |
| --- | --- | --- |
| 13.22 | 67.8 | 0 2 0 |
| 16.12 | 100.0 | 0 0 1 |
| 20.71 | 66.4 | 1 1 0 |
| 20.90 | 83.6 | 0 2 1 |
| 24.74 | 98.0 | 1 1 -1 |
| 26.62 | 41.8 | 0 4 0 |
| 27.89 | 55.9 | 1 1 1 |
| 28.07 | 46.8 | 1 3 0 |
| 31.24 | 93.7 | 1 3 -1 |
| 41.46 | 67.2 | 1 3 -2 |

```
data_KHgBF6
_space_group_name_H-M_alt 'C 1 2 1'
_space_group_IT_number 5
_cell_length_a 4.564
_cell_length_b 13.396
_cell_length_c 5.543
_cell_angle_alpha 90.00
_cell_angle_beta 97.33
_cell_angle_gamma 90.00
loop_
_space_group_symop_operation_xyz
'x,y,z'
'-x,y,-z'
'x+1/2,y+1/2,z'
'-x+1/2,y+1/2,-z'
loop_
_atom_site_label
_atom_site_type_symbol
_atom_site_fract_x
_atom_site_fract_y
_atom_site_fract_z
K1 K 0.000 0.000 0.000
Hg1 Hg 0.000 0.319 0.500
B1 B 0.000 0.580 0.500
F1 F 0.111 0.517 0.323
F2 F 0.152 0.829 0.242
F3 F 0.230 0.638 0.622
```



# KHgB2F8
Theoretical powder X-ray diffraction pattern, copper Kα. Input: a DFT-relaxed cell (PBE, Alexandria).
Intensities are scaled so that the largest is 100.

Largest 10 diffraction maxima, sorted by position, 10° ≤ 2θ ≤ 90°:
| 2θ (°) | intensity | (hkl) |
| --- | --- | --- |
| 12.01 | 42.7 | 0 0 3 |
| 19.60 | 52.6 | 1 0 1 |
| 20.81 | 44.2 | 0 1 2 |
| 25.10 | 100.0 | 1 0 4 |
| 27.91 | 35.8 | 0 1 5 |
| 33.54 | 40.4 | 1 1 0 |
| 37.92 | 29.1 | 0 1 8 |
| 39.15 | 23.9 | 0 2 1 |
| 39.81 | 24.7 | 2 0 2 |
| 41.76 | 56.0 | 2 -1 6 |

```
data_KHgB2F8
_space_group_name_H-M_alt 'R -3'
_space_group_IT_number 148
_space_group_name_Hall '-R 3'
_cell_length_a 5.3431
_cell_length_b 5.3431
_cell_length_c 22.1068
_cell_angle_alpha 90.00
_cell_angle_beta 90.00
_cell_angle_gamma 120.00
loop_
_atom_site_label
_atom_site_type_symbol
_atom_site_fract_x
_atom_site_fract_y
_atom_site_fract_z
K1 K 0.0000 0.0000 0.0000
Hg1 Hg 0.0000 0.0000 0.5000
B1 B 0.0000 0.0000 0.2580
F1 F 0.0000 0.0000 0.3219
F2 F 0.0541 0.5942 0.4300
```